This entry pairs a crystal structure of KSn5Cl11 with its calculated XRD peak list. Radiation: λ = 1.5418 Å (Cu Kα). Structure: a crystal structure in Alexandria, relaxed with GGA-PBE.
Intensities are scaled so that the largest is 100.

```
data_KSn5Cl11
_cell_length_a 8.813
_cell_length_b 8.813
_cell_length_c 9.212
_cell_angle_alpha 97.79
_cell_angle_beta 97.79
_cell_angle_gamma 117.73
_symmetry_space_group_name_H-M 'P 1'
_symmetry_Int_Tables_number 1
_symmetry_space_group_name_Hall 'P 1'
loop_
_atom_site_label
_atom_site_type_symbol
_atom_site_fract_x
_atom_site_fract_y
_atom_site_fract_z
_atom_site_occupancy
K1 K 0.000 0.000 0.000 1
Sn1 Sn 0.061 0.358 0.654 1
Sn2 Sn 0.358 0.061 0.654 1
Sn3 Sn 0.500 0.500 0.000 1
Sn4 Sn 0.642 0.939 0.346 1
Sn5 Sn 0.939 0.642 0.346 1
Cl1 Cl 0.000 0.000 0.500 1
Cl2 Cl 0.131 0.384 0.952 1
Cl3 Cl 0.137 0.701 0.676 1
Cl4 Cl 0.299 0.863 0.324 1
Cl5 Cl 0.384 0.131 0.952 1
Cl6 Cl 0.418 0.418 0.675 1
Cl7 Cl 0.582 0.582 0.325 1
Cl8 Cl 0.616 0.869 0.048 1
Cl9 Cl 0.701 0.137 0.676 1
Cl10 Cl 0.863 0.299 0.324 1
Cl11 Cl 0.869 0.616 0.048 1
```

Largest 10 diffraction maxima, in order of rising 2θ, 10 to 80 degrees two-theta:
- 13.51°, I 100
- 15.41°, I 21
- 20.34°, I 18
- 21.48°, I 22
- 30.16°, I 36
- 31.24°, I 46
- 34.55°, I 36
- 39.57°, I 15
- 39.87°, I 17
- 43.79°, I 17

=====

This entry pairs a crystal structure of Pa3Al7Co4 with its calculated XRD peak list. Radiation: λ = 1.5418 Å (Cu Kα). Structure: a crystal structure in Alexandria, relaxed with GGA-PBE.
Intensities are scaled so that the largest is 100.

```
data_Pa3Al7Co4
_cell_length_a 7.600
_cell_length_b 7.600
_cell_length_c 9.062
_cell_angle_alpha 120.13
_cell_angle_beta 120.13
_cell_angle_gamma 31.31
_symmetry_space_group_name_H-M 'P 1'
_symmetry_Int_Tables_number 1
_symmetry_space_group_name_Hall 'P 1'
loop_
_atom_site_label
_atom_site_type_symbol
_atom_site_fract_x
_atom_site_fract_y
_atom_site_fract_z
_atom_site_occupancy
Pa1 Pa 0.000 0.000 0.000 1
Pa2 Pa 0.306 0.306 0.297 1
Pa3 Pa 0.694 0.694 0.703 1
Al1 Al 0.000 0.000 0.500 1
Al2 Al 0.157 0.157 0.425 1
Al3 Al 0.320 0.320 0.979 1
Al4 Al 0.489 0.489 0.709 1
Al5 Al 0.511 0.511 0.291 1
Al6 Al 0.680 0.680 0.021 1
Al7 Al 0.843 0.843 0.575 1
Co1 Co 0.106 0.106 0.848 1
Co2 Co 0.329 0.329 0.721 1
Co3 Co 0.671 0.671 0.279 1
Co4 Co 0.894 0.894 0.152 1
```

Largest 10 diffraction maxima, in order of rising 2θ, 10 to 80 degrees two-theta:
- 19.72°, I 64
- 22.49°, I 62
- 23.84°, I 100
- 30.60°, I 89
- 35.26°, I 82
- 37.12°, I 71
- 38.03°, I 80
- 38.94°, I 36
- 40.06°, I 28
- 44.16°, I 47

=====

This entry pairs a crystal structure of Hg3HF4 with its calculated XRD peak list. Radiation: λ = 1.5418 Å (Cu Kα). Structure: a crystal structure in Alexandria, relaxed with GGA-PBE.
Intensities are scaled so that the largest is 100.

```
data_Hg3HF4
_cell_length_a 4.857
_cell_length_b 7.042
_cell_length_c 7.744
_cell_angle_alpha 90.00
_cell_angle_beta 90.00
_cell_angle_gamma 90.00
_symmetry_space_group_name_H-M 'P 1'
_symmetry_Int_Tables_number 1
_symmetry_space_group_name_Hall 'P 1'
loop_
_atom_site_label
_atom_site_type_symbol
_atom_site_fract_x
_atom_site_fract_y
_atom_site_fract_z
_atom_site_occupancy
Hg1 Hg 0.250 0.057 0.190 1
Hg2 Hg 0.250 0.443 0.190 1
Hg3 Hg 0.250 0.750 0.640 1
Hg4 Hg 0.750 0.250 0.360 1
Hg5 Hg 0.750 0.557 0.810 1
Hg6 Hg 0.750 0.943 0.810 1
H1 H 0.250 0.250 0.714 1
H2 H 0.750 0.750 0.286 1
F1 F 0.250 0.040 0.887 1
F2 F 0.250 0.250 0.589 1
F3 F 0.250 0.460 0.887 1
F4 F 0.250 0.750 0.269 1
F5 F 0.750 0.250 0.731 1
F6 F 0.750 0.540 0.113 1
F7 F 0.750 0.750 0.411 1
F8 F 0.750 0.960 0.113 1
```

Largest 10 diffraction maxima, in order of rising 2θ, 10 to 80 degrees two-theta:
- 17.02°, I 90
- 21.60°, I 35
- 22.97°, I 44
- 25.06°, I 37
- 27.83°, I 40
- 29.50°, I 83
- 33.50°, I 100
- 37.01°, I 54
- 42.79°, I 52
- 43.47°, I 34

=====

This entry pairs a crystal structure of RbNaUSi2O9 with its calculated XRD peak list. Radiation: λ = 1.5418 Å (Cu Kα). Structure: a crystal structure in Alexandria, relaxed with GGA-PBE.
Intensities are scaled so that the largest is 100.

```
data_RbNaUSi2O9
_cell_length_a 7.520
_cell_length_b 8.016
_cell_length_c 8.232
_cell_angle_alpha 79.34
_cell_angle_beta 75.98
_cell_angle_gamma 85.07
_symmetry_space_group_name_H-M 'P 1'
_symmetry_Int_Tables_number 1
_symmetry_space_group_name_Hall 'P 1'
loop_
_atom_site_label
_atom_site_type_symbol
_atom_site_fract_x
_atom_site_fract_y
_atom_site_fract_z
_atom_site_occupancy
Rb1 Rb 0.086 0.464 0.215 1
Rb2 Rb 0.914 0.536 0.785 1
Na1 Na 0.383 0.816 0.751 1
Na2 Na 0.617 0.184 0.249 1
U1 U 0.000 0.000 0.000 1
U2 U 0.500 0.500 0.500 1
Si1 Si 0.208 0.852 0.362 1
Si2 Si 0.211 0.141 0.564 1
Si3 Si 0.789 0.859 0.436 1
Si4 Si 0.792 0.148 0.638 1
O1 O 0.003 0.209 0.538 1
O2 O 0.078 0.779 0.965 1
O3 O 0.190 0.973 0.182 1
O4 O 0.209 0.091 0.765 1
O5 O 0.275 0.962 0.486 1
O6 O 0.322 0.540 0.691 1
O7 O 0.340 0.683 0.342 1
O8 O 0.351 0.286 0.455 1
O9 O 0.357 0.197 0.130 1
O10 O 0.643 0.803 0.870 1
O11 O 0.649 0.714 0.545 1
O12 O 0.660 0.317 0.658 1
O13 O 0.678 0.460 0.309 1
O14 O 0.725 0.038 0.514 1
O15 O 0.791 0.909 0.235 1
O16 O 0.810 0.027 0.818 1
O17 O 0.922 0.221 0.035 1
O18 O 0.997 0.791 0.462 1
```

Largest 10 diffraction maxima, in order of rising 2θ, 10 to 80 degrees two-theta:
- 14.52°, I 100
- 16.21°, I 38
- 16.93°, I 33
- 17.23°, I 36
- 18.40°, I 73
- 22.59°, I 46
- 23.70°, I 32
- 24.79°, I 37
- 27.62°, I 40
- 28.19°, I 68

=====

This entry pairs a crystal structure of Rb2MgTlF6 with its calculated XRD peak list. Radiation: λ = 1.5418 Å (Cu Kα). Structure: a crystal structure in Alexandria, relaxed with GGA-PBE.
Intensities are scaled so that the largest is 100.

```
data_Rb2MgTlF6
_cell_length_a 6.261
_cell_length_b 6.261
_cell_length_c 6.261
_cell_angle_alpha 60.00
_cell_angle_beta 60.00
_cell_angle_gamma 60.00
_symmetry_space_group_name_H-M 'P 1'
_symmetry_Int_Tables_number 1
_symmetry_space_group_name_Hall 'P 1'
loop_
_atom_site_label
_atom_site_type_symbol
_atom_site_fract_x
_atom_site_fract_y
_atom_site_fract_z
_atom_site_occupancy
Rb1 Rb 0.250 0.250 0.250 1
Rb2 Rb 0.750 0.750 0.750 1
Mg1 Mg 0.000 0.000 0.000 1
Tl1 Tl 0.500 0.500 0.500 1
F1 F 0.229 0.229 0.771 1
F2 F 0.229 0.771 0.229 1
F3 F 0.229 0.771 0.771 1
F4 F 0.771 0.229 0.229 1
F5 F 0.771 0.229 0.771 1
F6 F 0.771 0.771 0.229 1
```

Largest 10 diffraction maxima, in order of rising 2θ, 10 to 80 degrees two-theta:
- 17.35°, I 40
- 28.51°, I 100
- 33.57°, I 32
- 40.76°, I 38
- 44.61°, I 18
- 50.50°, I 41
- 53.80°, I 10
- 59.02°, I 24
- 62.01°, I 9
- 66.83°, I 19

=====

This entry pairs a crystal structure of Pm2Er2Se2S3 with its calculated XRD peak list. Radiation: λ = 1.5418 Å (Cu Kα). Structure: a crystal structure in Alexandria, relaxed with GGA-PBE.
Intensities are scaled so that the largest is 100.

```
data_Pm2Er2Se2S3
_cell_length_a 8.411
_cell_length_b 8.411
_cell_length_c 8.411
_cell_angle_alpha 142.94
_cell_angle_beta 142.94
_cell_angle_gamma 53.41
_symmetry_space_group_name_H-M 'P 1'
_symmetry_Int_Tables_number 1
_symmetry_space_group_name_Hall 'P 1'
loop_
_atom_site_label
_atom_site_type_symbol
_atom_site_fract_x
_atom_site_fract_y
_atom_site_fract_z
_atom_site_occupancy
Pm1 Pm 0.200 0.200 0.000 1
Pm2 Pm 0.800 0.800 0.000 1
Er1 Er 0.000 0.500 0.500 1
Er2 Er 0.500 0.000 0.500 1
Se1 Se 0.398 0.398 0.000 1
Se2 Se 0.602 0.602 0.000 1
S1 S 0.000 0.000 0.000 1
S2 S 0.250 0.750 0.500 1
S3 S 0.750 0.250 0.500 1
```

Largest 10 diffraction maxima, in order of rising 2θ, 10 to 80 degrees two-theta:
- 23.68°, I 24
- 26.39°, I 83
- 33.53°, I 100
- 33.63°, I 42
- 34.22°, I 57
- 41.46°, I 21
- 48.14°, I 36
- 48.66°, I 42
- 54.55°, I 19
- 55.73°, I 23

=====

This entry pairs a crystal structure of CdAsH with its calculated XRD peak list. Radiation: λ = 1.5418 Å (Cu Kα). Structure: a crystal structure in Alexandria, relaxed with GGA-PBE.
Intensities are scaled so that the largest is 100.

```
data_CdAsH
_cell_length_a 7.297
_cell_length_b 4.698
_cell_length_c 7.535
_cell_angle_alpha 90.00
_cell_angle_beta 90.00
_cell_angle_gamma 90.00
_symmetry_space_group_name_H-M 'P 1'
_symmetry_Int_Tables_number 1
_symmetry_space_group_name_Hall 'P 1'
loop_
_atom_site_label
_atom_site_type_symbol
_atom_site_fract_x
_atom_site_fract_y
_atom_site_fract_z
_atom_site_occupancy
Cd1 Cd 0.155 0.250 0.007 1
Cd2 Cd 0.345 0.750 0.507 1
Cd3 Cd 0.655 0.250 0.493 1
Cd4 Cd 0.845 0.750 0.993 1
As1 As 0.232 0.750 0.849 1
As2 As 0.268 0.250 0.349 1
As3 As 0.732 0.750 0.651 1
As4 As 0.768 0.250 0.151 1
H1 H 0.090 0.250 0.459 1
H2 H 0.410 0.750 0.959 1
H3 H 0.590 0.250 0.041 1
H4 H 0.910 0.750 0.541 1
```

Largest 10 diffraction maxima, in order of rising 2θ, 10 to 80 degrees two-theta:
- 16.91°, I 87
- 22.30°, I 47
- 23.62°, I 36
- 24.40°, I 55
- 25.46°, I 35
- 31.04°, I 35
- 38.32°, I 45
- 38.91°, I 38
- 39.37°, I 57
- 42.66°, I 100

=====

This entry pairs a crystal structure of MgBe2 with its calculated XRD peak list. Radiation: λ = 1.5418 Å (Cu Kα). Structure: a crystal structure in Alexandria, relaxed with GGA-PBE.
Intensities are scaled so that the largest is 100.

```
data_MgBe2
_cell_length_a 7.716
_cell_length_b 7.716
_cell_length_c 7.716
_cell_angle_alpha 26.58
_cell_angle_beta 26.58
_cell_angle_gamma 26.58
_symmetry_space_group_name_H-M 'P 1'
_symmetry_Int_Tables_number 1
_symmetry_space_group_name_Hall 'P 1'
loop_
_atom_site_label
_atom_site_type_symbol
_atom_site_fract_x
_atom_site_fract_y
_atom_site_fract_z
_atom_site_occupancy
Mg1 Mg 0.219 0.219 0.219 1
Mg2 Mg 0.781 0.781 0.781 1
Be1 Be 0.043 0.043 0.043 1
Be2 Be 0.339 0.339 0.339 1
Be3 Be 0.661 0.661 0.661 1
Be4 Be 0.957 0.957 0.957 1
```

Largest 10 diffraction maxima, in order of rising 2θ, 10 to 80 degrees two-theta:
- 30.17°, I 100
- 33.29°, I 53
- 35.47°, I 59
- 36.23°, I 32
- 40.79°, I 92
- 51.52°, I 65
- 54.18°, I 33
- 64.60°, I 32
- 67.71°, I 19
- 74.74°, I 16

=====

This entry pairs a crystal structure of Ho6ErNi3 with its calculated XRD peak list. Radiation: λ = 1.5418 Å (Cu Kα). Structure: a crystal structure in Alexandria, relaxed with GGA-PBE.
Intensities are scaled so that the largest is 100.

```
data_Ho6ErNi3
_cell_length_a 8.450
_cell_length_b 8.450
_cell_length_c 7.012
_cell_angle_alpha 90.00
_cell_angle_beta 90.00
_cell_angle_gamma 99.79
_symmetry_space_group_name_H-M 'P 1'
_symmetry_Int_Tables_number 1
_symmetry_space_group_name_Hall 'P 1'
loop_
_atom_site_label
_atom_site_type_symbol
_atom_site_fract_x
_atom_site_fract_y
_atom_site_fract_z
_atom_site_occupancy
Ho1 Ho 0.033 0.967 0.500 1
Ho2 Ho 0.035 0.419 0.343 1
Ho3 Ho 0.226 0.774 0.153 1
Ho4 Ho 0.296 0.370 0.990 1
Ho5 Ho 0.370 0.296 0.490 1
Ho6 Ho 0.419 0.035 0.843 1
Ho7 Ho 0.581 0.965 0.343 1
Ho8 Ho 0.630 0.704 0.990 1
Ho9 Ho 0.704 0.630 0.490 1
Ho10 Ho 0.774 0.226 0.653 1
Ho11 Ho 0.965 0.581 0.843 1
Ho12 Ho 0.967 0.033 0.000 1
Er1 Er 0.321 0.679 0.614 1
Er2 Er 0.679 0.321 0.114 1
Ni1 Ni 0.089 0.301 0.707 1
Ni2 Ni 0.301 0.089 0.207 1
Ni3 Ni 0.417 0.583 0.283 1
Ni4 Ni 0.583 0.417 0.783 1
Ni5 Ni 0.699 0.911 0.707 1
Ni6 Ni 0.911 0.699 0.207 1
```

Largest 10 diffraction maxima, in order of rising 2θ, 10 to 80 degrees two-theta:
- 28.97°, I 47
- 30.32°, I 48
- 30.46°, I 78
- 32.25°, I 57
- 32.91°, I 30
- 33.41°, I 54
- 34.74°, I 100
- 36.30°, I 71
- 41.07°, I 30
- 59.06°, I 35

=====

This entry pairs a crystal structure of IrRhPb2 with its calculated XRD peak list. Radiation: λ = 1.5418 Å (Cu Kα). Structure: a crystal structure in Alexandria, relaxed with GGA-PBE.
Intensities are scaled so that the largest is 100.

```
data_IrRhPb2
_cell_length_a 3.294
_cell_length_b 3.294
_cell_length_c 8.190
_cell_angle_alpha 90.00
_cell_angle_beta 90.00
_cell_angle_gamma 90.00
_symmetry_space_group_name_H-M 'P 1'
_symmetry_Int_Tables_number 1
_symmetry_space_group_name_Hall 'P 1'
loop_
_atom_site_label
_atom_site_type_symbol
_atom_site_fract_x
_atom_site_fract_y
_atom_site_fract_z
_atom_site_occupancy
Ir1 Ir 0.000 0.000 0.000 1
Rh1 Rh 0.500 0.500 0.847 1
Pb1 Pb 0.000 0.000 0.616 1
Pb2 Pb 0.500 0.500 0.235 1
```

Largest 10 diffraction maxima, in order of rising 2θ, 10 to 80 degrees two-theta:
- 10.80°, I 22
- 29.22°, I 38
- 32.81°, I 19
- 34.96°, I 100
- 38.65°, I 70
- 43.03°, I 46
- 51.58°, I 22
- 55.81°, I 24
- 67.57°, I 30
- 72.97°, I 20

=====

This entry pairs a crystal structure of Sm6Dy3Tm with its calculated XRD peak list. Radiation: λ = 1.5418 Å (Cu Kα). Structure: a crystal structure in Alexandria, relaxed with GGA-PBE.
Intensities are scaled so that the largest is 100.

```
data_Sm6Dy3Tm
_cell_length_a 11.670
_cell_length_b 11.670
_cell_length_c 6.393
_cell_angle_alpha 90.00
_cell_angle_beta 90.00
_cell_angle_gamma 130.62
_symmetry_space_group_name_H-M 'P 1'
_symmetry_Int_Tables_number 1
_symmetry_space_group_name_Hall 'P 1'
loop_
_atom_site_label
_atom_site_type_symbol
_atom_site_fract_x
_atom_site_fract_y
_atom_site_fract_z
_atom_site_occupancy
Sm1 Sm 0.016 0.984 0.500 1
Sm2 Sm 0.105 0.544 0.002 1
Sm3 Sm 0.258 0.379 0.244 1
Sm4 Sm 0.301 0.699 0.472 1
Sm5 Sm 0.379 0.258 0.744 1
Sm6 Sm 0.456 0.895 0.002 1
Sm7 Sm 0.544 0.105 0.502 1
Sm8 Sm 0.621 0.742 0.244 1
Sm9 Sm 0.699 0.301 0.972 1
Sm10 Sm 0.742 0.621 0.744 1
Sm11 Sm 0.895 0.456 0.502 1
Sm12 Sm 0.984 0.016 0.000 1
Dy1 Dy 0.042 0.294 0.669 1
Dy2 Dy 0.294 0.042 0.169 1
Dy3 Dy 0.420 0.580 0.766 1
Dy4 Dy 0.580 0.420 0.266 1
Dy5 Dy 0.706 0.958 0.669 1
Dy6 Dy 0.958 0.706 0.169 1
Tm1 Tm 0.159 0.841 0.696 1
Tm2 Tm 0.841 0.159 0.196 1
```

Largest 10 diffraction maxima, in order of rising 2θ, 10 to 80 degrees two-theta:
- 28.53°, I 60
- 28.86°, I 32
- 29.18°, I 21
- 30.91°, I 58
- 31.17°, I 100
- 32.07°, I 55
- 32.71°, I 39
- 33.43°, I 58
- 34.34°, I 24
- 56.13°, I 37

=====

This entry pairs a crystal structure of LaH3Pt with its calculated XRD peak list. Radiation: λ = 1.5418 Å (Cu Kα). Structure: a crystal structure in Alexandria, relaxed with GGA-PBE.
Intensities are scaled so that the largest is 100.

```
data_LaH3Pt
_cell_length_a 5.432
_cell_length_b 5.843
_cell_length_c 8.082
_cell_angle_alpha 90.00
_cell_angle_beta 95.23
_cell_angle_gamma 90.00
_symmetry_space_group_name_H-M 'P 1'
_symmetry_Int_Tables_number 1
_symmetry_space_group_name_Hall 'P 1'
loop_
_atom_site_label
_atom_site_type_symbol
_atom_site_fract_x
_atom_site_fract_y
_atom_site_fract_z
_atom_site_occupancy
La1 La 0.224 0.194 0.156 1
La2 La 0.224 0.306 0.656 1
La3 La 0.776 0.694 0.344 1
La4 La 0.776 0.806 0.844 1
H1 H 0.052 0.682 0.606 1
H2 H 0.052 0.818 0.106 1
H3 H 0.132 0.515 0.902 1
H4 H 0.132 0.985 0.402 1
H5 H 0.473 0.132 0.887 1
H6 H 0.473 0.368 0.387 1
H7 H 0.527 0.632 0.613 1
H8 H 0.527 0.868 0.113 1
H9 H 0.868 0.015 0.598 1
H10 H 0.868 0.485 0.098 1
H11 H 0.948 0.182 0.894 1
H12 H 0.948 0.318 0.394 1
Pt1 Pt 0.322 0.683 0.018 1
Pt2 Pt 0.322 0.817 0.518 1
Pt3 Pt 0.678 0.183 0.482 1
Pt4 Pt 0.678 0.317 0.982 1
```

Largest 10 diffraction maxima, in order of rising 2θ, 10 to 80 degrees two-theta:
- 22.09°, I 25
- 28.83°, I 44
- 30.57°, I 100
- 32.73°, I 27
- 33.12°, I 29
- 36.22°, I 22
- 36.61°, I 24
- 37.18°, I 23
- 41.48°, I 23
- 49.39°, I 20